This entry pairs a crystal structure of MgNi4P2 with its theoretical X-ray diffraction stick pattern. Radiation: copper Kα. Structure: a DFT-relaxed cell (PBE, Alexandria).

Largest 10 diffraction maxima, sorted by position, 10 to 90 degrees two-theta:
Position (°2θ)	I (rel.)
12.44	62
25.02	22
31.88	35
34.34	24
40.26	74
43.61	24
47.72	100
54.87	37
64.16	17
88.96	15

Atomic structure:
```
data_MgNi4P2
_chemical_formula_sum 'Mg3 Ni12 P6'
_cell_length_a 3.8115
_cell_length_b 3.8115
_cell_length_c 21.3529
_cell_angle_alpha 90.00
_cell_angle_beta 90.00
_cell_angle_gamma 120.00
_symmetry_space_group_name_H-M 'R -3 m'
_symmetry_Int_Tables_number 166
_symmetry_space_group_name_Hall '-R 3 2"'
loop_
_atom_site_label
_atom_site_fract_x
_atom_site_fract_y
_atom_site_fract_z
Mg1 0.0000 0.0000 0.0000
Ni1 0.0000 0.0000 0.1356
Ni2 0.0000 0.0000 0.4135
P1 0.0000 0.0000 0.2415
```